Entry 1:
# Na10B17C3
Calculated X-ray powder pattern, Cu Ka. Input: a DFT-relaxed cell (GGA-PBE, Alexandria).
Lines closer than 0.1° are merged.

Peak list (10 most intense, 2θ = 10–90°, by angle)
hkl 6 0 2, 2θ 33.57, 2.669 Å, rel. 16; hkl 3 1 1, 2θ 35.94, 2.499 Å, rel. 19; hkl 2 0 4, 2θ 39.57, 2.277 Å, rel. 28; hkl 10 0 0, 2θ 39.71, 2.270 Å, rel. 28; hkl 8 0 -4, 2θ 41.66, 2.168 Å, rel. 100; hkl 7 1 -1, 2θ 41.75, 2.164 Å, rel. 57; hkl 9 1 3, 2θ 61.57, 1.506 Å, rel. 21; hkl 15 1 -5, 2θ 76.14, 1.250 Å, rel. 10; hkl 1 1 7, 2θ 76.95, 1.239 Å, rel. 10; hkl 10 2 0, 2θ 79.89, 1.201 Å, rel. 11

Crystal structure
```
data_Na10B17C3
_space_group_name_H-M_alt 'C 1 m 1'
_space_group_IT_number 8
_cell_length_a 23.568
_cell_length_b 2.828
_cell_length_c 10.204
_cell_angle_alpha 90.00
_cell_angle_beta 105.64
_cell_angle_gamma 90.00
loop_
_space_group_symop_operation_xyz
'x,y,z'
'x,-y,z'
'x+1/2,y+1/2,z'
'x+1/2,-y+1/2,z'
loop_
_atom_site_label
_atom_site_fract_x
_atom_site_fract_y
_atom_site_fract_z
Na1 0.000 0.000 0.000
Na2 0.000 0.500 0.495
Na3 0.100 0.000 0.696
Na4 0.100 0.500 0.196
Na5 0.199 0.000 0.393
Na6 0.199 0.500 0.897
Na7 0.298 0.500 0.594
Na8 0.299 0.000 0.097
Na9 0.399 0.000 0.796
Na10 0.400 0.500 0.296
B1 0.022 0.000 0.290
B2 0.025 0.500 0.796
B3 0.087 0.000 0.421
B4 0.114 0.000 0.976
B5 0.175 0.500 0.597
B6 0.180 0.000 0.108
B7 0.215 0.000 0.677
B8 0.220 0.500 0.188
B9 0.277 0.000 0.802
B10 0.311 0.000 0.370
B11 0.318 0.500 0.884
B12 0.377 0.000 0.500
B13 0.380 0.500 0.009
B14 0.419 0.500 0.586
B15 0.420 0.000 0.088
B16 0.482 0.500 0.710
B17 0.484 0.000 0.214
C1 0.083 0.500 0.913
C2 0.117 0.500 0.480
C3 0.280 0.500 0.308
```


Entry 2:
# Na10B17C3
Calculated X-ray powder pattern, Cu Ka. Input: a DFT-relaxed cell (GGA-PBE, Alexandria).
Lines closer than 0.1° are merged.

Peak list (10 most intense, 2θ = 10–90°, by angle)
hkl 6 0 2, 2θ 33.57, 2.669 Å, rel. 16; hkl 3 1 1, 2θ 35.94, 2.499 Å, rel. 19; hkl 2 0 4, 2θ 39.55, 2.279 Å, rel. 28; hkl 10 0 0, 2θ 39.74, 2.268 Å, rel. 28; hkl 8 0 -4, 2θ 41.66, 2.168 Å, rel. 100; hkl 7 1 -1, 2θ 41.76, 2.163 Å, rel. 57; hkl 9 1 3, 2θ 61.57, 1.506 Å, rel. 21; hkl 15 1 -5, 2θ 76.15, 1.250 Å, rel. 10; hkl 1 1 7, 2θ 76.91, 1.240 Å, rel. 10; hkl 17 1 -1, 2θ 77.27, 1.235 Å, rel. 10

Crystal structure
```
data_Na10B17C3
_space_group_name_H-M_alt 'C 1 m 1'
_space_group_IT_number 8
_cell_length_a 23.556
_cell_length_b 2.828
_cell_length_c 10.210
_cell_angle_alpha 90.00
_cell_angle_beta 105.63
_cell_angle_gamma 90.00
loop_
_space_group_symop_operation_xyz
'x,y,z'
'x,-y,z'
'x+1/2,y+1/2,z'
'x+1/2,-y+1/2,z'
loop_
_atom_site_label
_atom_site_fract_x
_atom_site_fract_y
_atom_site_fract_z
Na1 0.000 0.000 0.000
Na2 0.000 0.500 0.498
Na3 0.100 0.000 0.695
Na4 0.100 0.500 0.198
Na5 0.198 0.000 0.397
Na6 0.198 0.500 0.897
Na7 0.299 0.000 0.098
Na8 0.299 0.500 0.595
Na9 0.400 0.000 0.798
Na10 0.400 0.500 0.299
B1 0.024 0.500 0.796
B2 0.079 0.000 0.405
B3 0.112 0.000 0.972
B4 0.119 0.500 0.486
B5 0.177 0.000 0.102
B6 0.184 0.500 0.618
B7 0.215 0.500 0.179
B8 0.274 0.000 0.797
B9 0.278 0.500 0.307
B10 0.317 0.500 0.883
B11 0.318 0.000 0.386
B12 0.380 0.500 0.008
B13 0.381 0.000 0.510
B14 0.422 0.000 0.093
B15 0.422 0.500 0.592
B16 0.484 0.500 0.716
B17 0.488 0.000 0.223
C1 0.019 0.000 0.285
C2 0.082 0.500 0.913
C3 0.216 0.000 0.681
```


Entry 3:
# Na5B9C
Calculated X-ray powder pattern, Cu Ka. Input: a DFT-relaxed cell (GGA-PBE, Alexandria).
Lines closer than 0.1° are merged.

Peak list (10 most intense, 2θ = 10–90°, by angle)
hkl 6 0 2, 2θ 32.99, 2.715 Å, rel. 31; hkl 3 1 1, 2θ 35.99, 2.496 Å, rel. 32; hkl 2 0 4, 2θ 38.98, 2.311 Å, rel. 49; hkl 10 0 0, 2θ 39.17, 2.300 Å, rel. 49; hkl 8 0 -4, 2θ 41.38, 2.182 Å, rel. 74; hkl 1 1 -3, 2θ 41.65, 2.169 Å, rel. 100; hkl 7 1 -1, 2θ 41.74, 2.164 Å, rel. 99; hkl 9 1 3, 2θ 60.88, 1.522 Å, rel. 37; hkl 1 1 7, 2θ 76.11, 1.251 Å, rel. 17; hkl 17 1 -1, 2θ 76.48, 1.246 Å, rel. 17

Crystal structure
```
data_Na5B9C
_space_group_name_H-M_alt 'C 1 2/m 1'
_space_group_IT_number 12
_cell_length_a 23.814
_cell_length_b 2.810
_cell_length_c 10.303
_cell_angle_alpha 90.00
_cell_angle_beta 105.03
_cell_angle_gamma 90.00
loop_
_space_group_symop_operation_xyz
'x,y,z'
'-x,-y,-z'
'-x,y,-z'
'x,-y,z'
'x+1/2,y+1/2,z'
'-x+1/2,-y+1/2,-z'
'-x+1/2,y+1/2,-z'
'x+1/2,-y+1/2,z'
loop_
_atom_site_label
_atom_site_fract_x
_atom_site_fract_y
_atom_site_fract_z
Na1 0.000 0.000 0.000
Na2 0.000 0.500 0.500
Na3 0.099 0.000 0.698
Na4 0.101 0.500 0.200
Na5 0.199 0.500 0.898
Na6 0.200 0.000 0.400
B1 0.016 0.500 0.781
B2 0.024 0.000 0.300
B3 0.078 0.500 0.905
B4 0.112 0.500 0.475
B5 0.118 0.000 0.988
B6 0.176 0.500 0.603
B7 0.180 0.000 0.111
B8 0.217 0.000 0.683
B9 0.221 0.500 0.193
C1 0.082 0.000 0.414
```


Entry 4:
# Na4B7C
Calculated X-ray powder pattern, Cu Ka. Input: a DFT-relaxed cell (GGA-PBE, Alexandria).
Lines closer than 0.1° are merged.

Peak list (10 most intense, 2θ = 10–90°, by angle)
hkl 2 2 0, 2θ 34.95, 2.567 Å, rel. 20; hkl 2 2 2, 2θ 40.84, 2.210 Å, rel. 100; hkl 0 0 4, 2θ 41.61, 2.170 Å, rel. 24; hkl 2 2 4, 2θ 55.44, 1.657 Å, rel. 11; hkl 4 0 0, 2θ 62.68, 1.482 Å, rel. 18; hkl 4 0 2, 2θ 66.68, 1.403 Å, rel. 2; hkl 2 2 6, 2θ 75.41, 1.260 Å, rel. 13; hkl 4 4 2, 2θ 77.56, 1.231 Å, rel. 11; hkl 4 0 4, 2θ 78.08, 1.224 Å, rel. 17; hkl 0 8 4, 2θ 88.50, 1.105 Å, rel. 2

Crystal structure
```
data_Na4B7C
_space_group_name_H-M_alt 'C m c m'
_space_group_IT_number 63
_space_group_name_Hall '-C 2c 2'
_cell_length_a 5.925
_cell_length_b 10.274
_cell_length_c 8.681
_cell_angle_alpha 90.00
_cell_angle_beta 90.00
_cell_angle_gamma 90.00
loop_
_atom_site_label
_atom_site_fract_x
_atom_site_fract_y
_atom_site_fract_z
Na1 0.000 0.250 0.000
Na2 0.250 0.000 0.000
B1 0.000 0.072 0.250
B2 0.000 0.412 0.250
B3 0.000 0.417 0.750
B4 0.234 0.161 0.750
B5 0.242 0.169 0.250
C1 0.000 0.083 0.750
```